1.
Calculated powder X-ray diffraction pattern of Ac2MnGa3Pt4 for Cu Kα, 1.54184 Å, from a cell relaxed with PBE.

Top 10 peaks for 2θ from 10° to 80°, in order of falling intensity:
2θ (°)	I (rel.)
33.3	100
40.9	62
32.4	61
53.1	31
47.4	30
69.7	24
64.3	24
59.3	21
29.9	20
28.6	15

Unit cell a=4.409 b=4.409 c=10.663 alpha=90.00 beta=90.00 gamma=90.00
Space group P-4m2 (No. 115)
One atom of each set of equivalent atoms:
1 Ac 0.000 0.500 0.249 [2 per cell]
2 Mn 0.000 0.000 0.500 [1 per cell]
3 Ga 0.000 0.500 0.877 [2 per cell]
4 Ga 0.500 0.500 0.500 [1 per cell]
5 Pt 0.000 0.000 0.000 [1 per cell]
6 Pt 0.000 0.500 0.636 [2 per cell]
7 Pt 0.500 0.500 0.000 [1 per cell]

2.
Calculated powder X-ray diffraction pattern of AcMnGa2S6 for Cu Kα, 1.54184 Å, from a cell relaxed with PBE.

Top 10 peaks for 2θ from 10° to 80°, in order of falling intensity:
2θ (°)	I (rel.)
22.2	100
14.4	53
19.5	53
26.5	48
23.2	47
28.8	43
11.1	37
36.7	36
29.0	29
33.5	29

Unit cell a=13.924 b=10.502 c=7.645 alpha=90.00 beta=117.40 gamma=90.00
Space group C2/c (No. 15)
One atom of each set of equivalent atoms:
1 Ac 0.000 0.179 0.250 [4 per cell]
2 Mn 0.000 0.199 0.750 [4 per cell]
3 Ga 0.203 0.431 0.166 [8 per cell]
4 S 0.108 0.077 0.663 [8 per cell]
5 S 0.138 0.231 0.057 [8 per cell]
6 S 0.150 0.421 0.417 [8 per cell]

3.
Calculated powder X-ray diffraction pattern of Ac6GaN2 for Cu Kα, 1.54184 Å, from a cell relaxed with PBE.

Top 10 peaks for 2θ from 10° to 80°, in order of falling intensity:
2θ (°)	I (rel.)
30.2	100
31.6	55
55.5	38
24.5	29
45.4	21
44.6	19
52.8	16
57.3	14
30.6	13
75.9	11

Unit cell a=7.997 b=8.000 c=9.637 alpha=90.00 beta=114.41 gamma=90.00
Space group C2/m (No. 12)
One atom of each set of equivalent atoms:
1 Ac 0.143 0.250 0.286 [8 per cell]
2 Ac 0.248 0.000 0.996 [4 per cell]
3 Ga 0.000 0.000 0.500 [2 per cell]
4 N 0.000 0.250 0.000 [4 per cell]

4.
Calculated powder X-ray diffraction pattern of Ac12Ga5N2 for Cu Kα, 1.54184 Å, from a cell relaxed with PBE.

Top 10 peaks for 2θ from 10° to 80°, in order of falling intensity:
2θ (°)	I (rel.)
29.1	100
30.7	78
23.9	56
31.6	52
23.7	52
24.6	48
32.7	29
36.1	26
45.2	25
32.8	24

Unit cell a=17.657 b=8.018 c=9.954 alpha=90.00 beta=105.95 gamma=90.00
Space group C2/m (No. 12)
One atom of each set of equivalent atoms:
1 Ac 0.001 0.000 0.191 [4 per cell]
2 Ac 0.010 0.500 0.824 [4 per cell]
3 Ac 0.150 0.256 0.572 [8 per cell]
4 Ac 0.157 0.253 0.088 [8 per cell]
5 Ga 0.000 0.500 0.500 [2 per cell]
6 Ga 0.183 0.000 0.837 [4 per cell]
7 Ga 0.193 0.000 0.354 [4 per cell]
8 N 0.000 0.241 0.000 [4 per cell]

5.
Calculated powder X-ray diffraction pattern of AcGaNi2N for Cu Kα, 1.54184 Å, from a cell relaxed with PBE.

Top 10 peaks for 2θ from 10° to 80°, in order of falling intensity:
2θ (°)	I (rel.)
35.0	100
35.3	70
33.8	53
32.9	36
24.1	29
46.6	26
25.0	23
51.0	22
58.8	22
29.5	19

Unit cell a=3.897 b=11.434 c=7.132 alpha=90.00 beta=90.00 gamma=90.00
Space group Cmcm (No. 63)
One atom of each set of equivalent atoms:
1 Ac 0.000 0.047 0.250 [4 per cell]
2 Ga 0.000 0.227 0.750 [4 per cell]
3 Ni 0.000 0.337 0.057 [8 per cell]
4 N 0.000 0.500 0.000 [4 per cell]

6.
Calculated powder X-ray diffraction pattern of Ac3Ga2Os2N3 for Cu Kα, 1.54184 Å, from a cell relaxed with PBE.

Top 10 peaks for 2θ from 10° to 80°, in order of falling intensity:
2θ (°)	I (rel.)
28.8	100
30.9	43
53.7	37
44.3	28
49.7	23
38.5	12
47.6	11
34.5	11
73.2	9
64.4	9

Unit cell a=4.090 b=4.090 c=23.765 alpha=90.00 beta=90.00 gamma=90.00
Space group I4/mmm (No. 139)
One atom of each set of equivalent atoms:
1 Ac 0.000 0.000 0.000 [2 per cell]
2 Ac 0.000 0.000 0.386 [4 per cell]
3 Ga 0.000 0.500 0.250 [4 per cell]
4 Os 0.000 0.000 0.186 [4 per cell]
5 N 0.000 0.000 0.106 [4 per cell]
6 N 0.000 0.000 0.500 [2 per cell]

7.
Calculated powder X-ray diffraction pattern of Ac3Ga2Ru2N3 for Cu Kα, 1.54184 Å, from a cell relaxed with PBE.

Top 10 peaks for 2θ from 10° to 80°, in order of falling intensity:
2θ (°)	I (rel.)
28.9	100
31.3	40
54.2	36
44.8	29
49.7	27
54.8	15
24.7	14
34.8	14
29.9	12
32.2	12

Unit cell a=4.047 b=4.047 c=23.872 alpha=90.00 beta=90.00 gamma=90.00
Space group I4/mmm (No. 139)
One atom of each set of equivalent atoms:
1 Ac 0.000 0.000 0.000 [2 per cell]
2 Ac 0.000 0.000 0.386 [4 per cell]
3 Ga 0.000 0.500 0.250 [4 per cell]
4 Ru 0.000 0.000 0.187 [4 per cell]
5 N 0.000 0.000 0.106 [4 per cell]
6 N 0.000 0.000 0.500 [2 per cell]

8.
Calculated powder X-ray diffraction pattern of Sr2AcGaN for Cu Kα, 1.54184 Å, from a cell relaxed with PBE.

Top 10 peaks for 2θ from 10° to 80°, in order of falling intensity:
2θ (°)	I (rel.)
29.6	100
34.3	56
49.2	35
24.1	30
16.9	27
38.5	23
58.5	19
58.4	15
55.6	11
61.4	10

Unit cell a=7.394 b=7.394 c=10.486 alpha=90.00 beta=90.00 gamma=90.00
Space group I4cm (No. 108)
One atom of each set of equivalent atoms:
1 Sr 0.206 0.294 0.000 [8 per cell]
2 Ac 0.000 0.000 0.249 [4 per cell]
3 Ga 0.000 0.500 0.250 [4 per cell]
4 N 0.000 0.000 0.002 [4 per cell]